Record 1
The following is a theoretical powder XRD pattern of Ca7SnN6. It was derived from the PBE geometry in Alexandria, using a wavelength of 1.5418 Å.

a = 6.375 Å, b = 11.857 Å, c = 12.783 Å
α = 90.00°, β = 90.00°, γ = 90.00°
Space group Ibam (No. 72)
Symmetry-distinct sites (fractional):
Ca: 0.000 0.000 0.250 (multiplicity 4)
Ca: 0.123 0.278 0.126 (multiplicity 16)
Ca: 0.216 0.048 0.000 (multiplicity 8)
Sn: 0.000 0.500 0.250 (multiplicity 4)
N: 0.121 0.152 0.500 (multiplicity 8)
N: 0.203 0.386 0.324 (multiplicity 16)

Top 12 peaks for 10 to 90 degrees two-theta, low angle first:
2theta  intensity
13.86  17
15.78  22
20.43  21
21.06  49
30.13  29
31.36  30
31.81  100
34.09  24
34.91  51
38.90  17
44.06  24
60.13  17

---

Record 2
The following is a theoretical powder XRD pattern of NbV12Re6. It was derived from the PBE geometry in Alexandria, using a wavelength of 1.5418 Å.

a = 11.0062 Å, b = 11.0062 Å, c = 8.5661 Å
α = 90.00°, β = 90.00°, γ = 120.00°
Space group R-3m (No. 166, hexagonal axes)
Symmetry-distinct sites (fractional):
Nb: 0.0000 0.0000 0.0000 (multiplicity 3)
V: 0.0000 0.3895 0.5000 (multiplicity 18)
V: 0.0834 0.1667 0.2856 (multiplicity 18)
Re: 0.0640 0.5320 0.2341 (multiplicity 18)

Top 12 peaks for 10 to 90 degrees two-theta, low angle first:
2theta  intensity
13.90  46
26.85  89
28.02  86
32.52  53
35.42  23
42.57  81
42.67  100
46.49  58
46.64  58
48.95  29
52.55  23
69.89  37

---

Record 3
The following is a theoretical powder XRD pattern of SbAsRh2. It was derived from the PBE geometry in Alexandria, using a wavelength of 1.5418 Å.

a = 3.209 Å, b = 4.804 Å, c = 4.490 Å
α = 90.00°, β = 90.00°, γ = 90.00°
Space group Pmm2 (No. 25)
Symmetry-distinct sites (fractional):
Sb: 0.000 0.000 0.000 (multiplicity 1)
As: 0.500 0.500 0.687 (multiplicity 1)
Rh: 0.000 0.500 0.261 (multiplicity 1)
Rh: 0.500 0.000 0.498 (multiplicity 1)

Top 12 peaks for 10 to 90 degrees two-theta, low angle first:
2theta  intensity
34.35  92
37.44  66
39.28  100
44.55  71
51.72  57
57.44  18
68.77  19
70.60  20
72.40  21
72.51  16
75.48  29
89.91  12

---

Record 4
The following is a theoretical powder XRD pattern of Pu3PtRh. It was derived from the PBE geometry in Alexandria, using a wavelength of 1.5418 Å.

a = 4.094 Å, b = 8.305 Å, c = 3.479 Å
α = 90.00°, β = 90.00°, γ = 90.00°
Space group Pmm2 (No. 25)
Symmetry-distinct sites (fractional):
Pu: 0.000 0.000 0.000 (multiplicity 1)
Pu: 0.500 0.319 0.004 (multiplicity 2)
Pt: 0.000 0.500 0.504 (multiplicity 1)
Rh: 0.500 0.000 0.501 (multiplicity 1)

Top 12 peaks for 10 to 90 degrees two-theta, low angle first:
2theta  intensity
25.61  17
30.67  54
32.34  22
35.55  100
39.29  19
40.37  27
41.70  37
44.25  26
52.62  16
62.15  15
62.42  23
66.42  27

---

Record 5
The following is a theoretical powder XRD pattern of CeErPb2. It was derived from the PBE geometry in Alexandria, using a wavelength of 1.5418 Å.

a = 5.060 Å, b = 5.060 Å, c = 4.490 Å
α = 90.00°, β = 90.00°, γ = 90.00°
Space group P4/mmm (No. 123)
Symmetry-distinct sites (fractional):
Ce: 0.000 0.000 0.000 (multiplicity 1)
Er: 0.500 0.500 0.000 (multiplicity 1)
Pb: 0.000 0.500 0.500 (multiplicity 2)

Top 12 peaks for 10 to 90 degrees two-theta, low angle first:
2theta  intensity
31.98  100
35.48  38
40.16  14
51.05  14
54.65  22
61.52  32
66.87  12
67.88  12
83.94  7
85.89  7
88.77  6
89.70  12

---

Record 6
The following is a theoretical powder XRD pattern of SrAg6Hg12. It was derived from the PBE geometry in Alexandria, using a wavelength of 1.5418 Å.

a = 12.8796 Å, b = 12.8796 Å, c = 9.7277 Å
α = 90.00°, β = 90.00°, γ = 120.00°
Space group R-3m (No. 166, hexagonal axes)
Symmetry-distinct sites (fractional):
Sr: 0.0000 0.0000 0.0000 (multiplicity 3)
Ag: 0.0669 0.5334 0.2320 (multiplicity 18)
Hg: 0.0000 0.3866 0.5000 (multiplicity 18)
Hg: 0.0832 0.1665 0.2900 (multiplicity 18)

Top 12 peaks for 10 to 90 degrees two-theta, low angle first:
2theta  intensity
19.91  34
30.32  100
30.88  52
36.30  69
36.78  69
36.93  16
39.80  36
40.46  32
44.69  51
67.93  23
70.66  25
73.50  17

---

Record 7
The following is a theoretical powder XRD pattern of YAlNi3. It was derived from the PBE geometry in Alexandria, using a wavelength of 1.5418 Å.

a = 4.937 Å, b = 8.100 Å, c = 8.099 Å
α = 90.00°, β = 90.00°, γ = 90.00°
Space group Imma (No. 74)
Symmetry-distinct sites (fractional):
Y: 0.000 0.250 0.050 (multiplicity 4)
Al: 0.000 0.000 0.500 (multiplicity 4)
Ni: 0.000 0.250 0.676 (multiplicity 4)
Ni: 0.250 0.008 0.750 (multiplicity 8)

Top 12 peaks for 10 to 90 degrees two-theta, low angle first:
2theta  intensity
15.47  18
21.95  13
30.61  91
31.24  45
35.04  14
42.91  100
44.30  56
44.75  53
48.70  19
50.39  15
63.73  27
81.22  13